Record 1
Diffraction record for CsRbTl3Cd. The powder XRD pattern is calculated, not measured: it uses a PBE-relaxed structure and Cu Kα (weighted mean of Kα1 and Kα2).

Atomic structure:
Cell lengths 11.0687, 11.0687, 5.9130 Å; angles 90.02, 90.02, 140.62 degrees
Fractional coordinates of all 12 atoms:
Cs 0.0549 0.9451 0.7500
Cs 0.9451 0.0549 0.2500
Rb 0.3415 0.6585 0.2500
Rb 0.6585 0.3415 0.7500
Tl 0.0407 0.3772 0.7486
Tl 0.3772 0.0407 0.2486
Tl 0.4610 0.5390 0.7500
Tl 0.5390 0.4610 0.2500
Tl 0.6228 0.9593 0.7514
Tl 0.9593 0.6228 0.2514
Cd 0.2285 0.7715 0.7500
Cd 0.7715 0.2285 0.2500

Most intense lines, 2θ from 10° to 80°, sorted by position:
5.143 Å, 2θ 17.2, I = 29
3.511 Å, 2θ 25.4, I = 20
3.099 Å, 2θ 28.8, I = 100
3.019 Å, 2θ 29.6, I = 44
2.956 Å, 2θ 30.2, I = 58
2.698 Å, 2θ 33.2, I = 46
2.278 Å, 2θ 39.6, I = 18
1.733 Å, 2θ 52.8, I = 20



Record 2
Diffraction record for CaPm12Nd7. The powder XRD pattern is calculated, not measured: it uses a PBE-relaxed structure and Cu Kα (weighted mean of Kα1 and Kα2).

Atomic structure:
Cell lengths 10.0834, 10.0834, 10.0834 Å; angles 109.47, 109.47, 109.47 degrees
Fractional coordinates of all 20 atoms:
Ca 0.0000 0.0000 0.0000
Pm 0.0000 0.2543 0.7457
Pm 0.0000 0.7457 0.2543
Pm 0.2543 0.0000 0.7457
Pm 0.2543 0.2543 0.5086
Pm 0.2543 0.5086 0.2543
Pm 0.2543 0.7457 0.0000
Pm 0.4914 0.7457 0.7457
Pm 0.5086 0.2543 0.2543
Pm 0.7457 0.0000 0.2543
Pm 0.7457 0.2543 0.0000
Pm 0.7457 0.4914 0.7457
Pm 0.7457 0.7457 0.4914
Nd 0.0000 0.0000 0.5000
Nd 0.0000 0.5000 0.0000
Nd 0.0000 0.5000 0.5000
Nd 0.5000 0.0000 0.0000
Nd 0.5000 0.0000 0.5000
Nd 0.5000 0.5000 0.0000
Nd 0.5000 0.5000 0.5000

Most intense lines, 2θ from 10° to 80°, sorted by position:
5.822 Å, 2θ 15.2, I = 32
3.361 Å, 2θ 26.5, I = 68
2.911 Å, 2θ 30.7, I = 100
2.604 Å, 2θ 34.4, I = 18
2.058 Å, 2θ 44.0, I = 74
1.755 Å, 2θ 52.1, I = 31
1.681 Å, 2θ 54.6, I = 26
1.302 Å, 2θ 72.6, I = 33



Please write out number 2 again, unchanged.
Diffraction record for CaPm12Nd7. The powder XRD pattern is calculated, not measured: it uses a PBE-relaxed structure and Cu Kα (weighted mean of Kα1 and Kα2).

Atomic structure:
Cell lengths 10.0834, 10.0834, 10.0834 Å; angles 109.47, 109.47, 109.47 degrees
Fractional coordinates of all 20 atoms:
Ca 0.0000 0.0000 0.0000
Pm 0.0000 0.2543 0.7457
Pm 0.0000 0.7457 0.2543
Pm 0.2543 0.0000 0.7457
Pm 0.2543 0.2543 0.5086
Pm 0.2543 0.5086 0.2543
Pm 0.2543 0.7457 0.0000
Pm 0.4914 0.7457 0.7457
Pm 0.5086 0.2543 0.2543
Pm 0.7457 0.0000 0.2543
Pm 0.7457 0.2543 0.0000
Pm 0.7457 0.4914 0.7457
Pm 0.7457 0.7457 0.4914
Nd 0.0000 0.0000 0.5000
Nd 0.0000 0.5000 0.0000
Nd 0.0000 0.5000 0.5000
Nd 0.5000 0.0000 0.0000
Nd 0.5000 0.0000 0.5000
Nd 0.5000 0.5000 0.0000
Nd 0.5000 0.5000 0.5000

Most intense lines, 2θ from 10° to 80°, sorted by position:
5.822 Å, 2θ 15.2, I = 32
3.361 Å, 2θ 26.5, I = 68
2.911 Å, 2θ 30.7, I = 100
2.604 Å, 2θ 34.4, I = 18
2.058 Å, 2θ 44.0, I = 74
1.755 Å, 2θ 52.1, I = 31
1.681 Å, 2θ 54.6, I = 26
1.302 Å, 2θ 72.6, I = 33